Theoretical powder diffractogram of Pm2Zn2GeRh5 for a wavelength of 1.5418 Å, from a structure optimized by DFT (PBE).
Lines closer than 0.1° are merged.

Main lines, by intensity (5 to 70 degrees two-theta):
| h k l | two_theta | intensity |
| --- | --- | --- |
| 3 1 1 | 38.5 | 100 |
| 4 1 0 | 37.8 | 51 |
| 3 2 1 | 41.8 | 31 |
| 3 3 0 | 39.0 | 25 |
| 2 1 1 | 32.4 | 24 |
| 0 0 2 | 51.4 | 21 |
| 3 3 2 | 66.4 | 21 |
| 2 2 1 | 36.2 | 21 |
| 4 1 2 | 65.6 | 20 |
| 4 0 1 | 44.9 | 13 |

Crystal structure
a b c (Å): 9.8088 9.8088 3.5525
angles (deg): 90.00 90.00 90.00
Space group P4/mbm (No. 127)
One atom of each set of equivalent atoms:
Pm (0.1734, 0.3266, 0.0000) x4
Zn (0.1263, 0.6263, 0.0000) x4
Ge (0.0000, 0.0000, 0.0000) x2
Rh (0.0000, 0.5000, 0.5000) x2
Rh (0.0611, 0.8018, 0.5000) x8

***

Theoretical powder diffractogram of PrErMn4Co13 for a wavelength of 1.5418 Å, from a structure optimized by DFT (PBE).
Lines closer than 0.1° are merged.

Main lines, by intensity (5 to 70 degrees two-theta):
| h k l | two_theta | intensity |
| --- | --- | --- |
| 2 2 2 | 43.2 | 100 |
| 4 0 -2 | 44.0 | 67 |
| 4 0 0 | 38.2 | 49 |
| 1 3 -2 | 43.3 | 44 |
| 1 3 1 | 37.0 | 35 |
| 3 1 0 | 30.3 | 33 |
| 0 4 0 | 42.8 | 30 |
| 4 0 1 | 43.4 | 22 |
| 0 0 3 | 43.6 | 21 |
| 2 0 2 | 37.3 | 19 |

Crystal structure
a b c (Å): 9.5659 8.4501 6.3246
angles (deg): 90.00 100.01 90.00
Space group Cm (No. 8)
One atom of each set of equivalent atoms:
Pr (0.0000, 0.0000, 0.0000) x2
Er (0.1965, 0.5000, 0.3160) x2
Mn (0.1000, 0.2509, 0.6551) x4
Mn (0.2509, 0.0000, 0.7636) x2
Mn (0.4500, 0.0000, 0.5478) x2
Co (0.0053, 0.0000, 0.4998) x2
Co (0.1907, 0.5000, 0.8127) x2
Co (0.2061, 0.1441, 0.3660) x4
Co (0.2529, 0.2513, 0.0045) x4
Co (0.3492, 0.2829, 0.6554) x4
Co (0.3508, 0.0000, 0.1571) x2
Co (0.4443, 0.2499, 0.3115) x4
Co (0.4938, 0.1424, 0.9480) x4

***

Theoretical powder diffractogram of Ac2DyCuO5 for a wavelength of 1.5418 Å, from a structure optimized by DFT (PBE).
Lines closer than 0.1° are merged.

Main lines, by intensity (5 to 70 degrees two-theta):
| h k l | two_theta | intensity |
| --- | --- | --- |
| 1 0 2 | 30.0 | 100 |
| 1 1 0 | 33.2 | 67 |
| 2 1 2 | 57.3 | 34 |
| 1 1 3 | 44.1 | 33 |
| 2 0 0 | 47.6 | 29 |
| 1 0 1 | 25.1 | 29 |
| 1 0 3 | 36.8 | 21 |
| 1 0 5 | 53.8 | 21 |
| 0 0 3 | 28.1 | 21 |
| 2 0 3 | 56.2 | 13 |

Crystal structure
a b c (Å): 3.8177 3.8177 9.5144
angles (deg): 90.00 90.00 90.00
Space group P4/mmm (No. 123)
One atom of each set of equivalent atoms:
Ac (0.0000, 0.0000, 0.1956) x2
Dy (0.5000, 0.5000, 0.5000) x1
Cu (0.5000, 0.5000, 0.0000) x1
O (0.0000, 0.0000, 0.5000) x1
O (0.0000, 0.5000, 0.0000) x2
O (0.5000, 0.5000, 0.2713) x2

***

Theoretical powder diffractogram of In2HgPbBr4 for a wavelength of 1.5418 Å, from a structure optimized by DFT (PBE).
Lines closer than 0.1° are merged.

Main lines, by intensity (5 to 70 degrees two-theta):
| h k l | two_theta | intensity |
| --- | --- | --- |
| 3 1 -1 | 27.5 | 100 |
| 2 0 2 | 28.7 | 43 |
| 1 1 -3 | 34.7 | 42 |
| 2 0 -2 | 19.4 | 32 |
| 0 2 0 | 39.8 | 26 |
| 3 1 1 | 33.1 | 24 |
| 5 1 -3 | 41.4 | 16 |
| 3 1 -5 | 51.7 | 16 |
| 2 2 2 | 49.8 | 15 |
| 5 1 1 | 45.0 | 15 |

Crystal structure
a b c (Å): 14.0621 4.5266 9.6009
angles (deg): 90.00 113.42 90.00
Space group C2/m (No. 12)
One atom of each set of equivalent atoms:
In (0.1926, 0.0000, 0.1976) x4
Hg (0.0000, 0.5000, 0.0000) x2
Pb (0.0000, 0.0000, 0.5000) x2
Br (0.1255, 0.5000, 0.4378) x4
Br (0.1601, 0.0000, 0.8255) x4

***

Theoretical powder diffractogram of MgH6Ir3 for a wavelength of 1.5418 Å, from a structure optimized by DFT (PBE).
Lines closer than 0.1° are merged.

Main lines, by intensity (5 to 70 degrees two-theta):
| h k l | two_theta | intensity |
| --- | --- | --- |
| 2 0 0 | 13.4 | 100 |
| 1 1 1 | 37.2 | 63 |
| 3 1 -1 | 40.5 | 35 |
| 3 1 1 | 42.9 | 34 |
| 6 0 0 | 41.0 | 25 |
| 2 0 -2 | 38.0 | 24 |
| 5 1 -1 | 48.7 | 23 |
| 4 0 0 | 27.0 | 20 |
| 0 0 1 | 18.4 | 19 |
| 2 0 2 | 41.4 | 14 |

Crystal structure
a b c (Å): 13.3070 2.8961 4.8729
angles (deg): 90.00 97.19 90.00
Space group Cm (No. 8)
One atom of each set of equivalent atoms:
Mg (0.0000, 0.0000, 0.0000) x2
H (0.0504, 0.5000, 0.6883) x2
H (0.1128, 0.5000, 0.1667) x2
H (0.1472, 0.0000, 0.6701) x2
H (0.2590, 0.0000, 0.4006) x2
H (0.3853, 0.0000, 0.7611) x2
H (0.4436, 0.0000, 0.2798) x2
Ir (0.1611, 0.5000, 0.8725) x2
Ir (0.3225, 0.5000, 0.5798) x2
Ir (0.3317, 0.0000, 0.0969) x2

***

Copy entry 2 word for word.
Theoretical powder diffractogram of PrErMn4Co13 for a wavelength of 1.5418 Å, from a structure optimized by DFT (PBE).
Lines closer than 0.1° are merged.

Main lines, by intensity (5 to 70 degrees two-theta):
| h k l | two_theta | intensity |
| --- | --- | --- |
| 2 2 2 | 43.2 | 100 |
| 4 0 -2 | 44.0 | 67 |
| 4 0 0 | 38.2 | 49 |
| 1 3 -2 | 43.3 | 44 |
| 1 3 1 | 37.0 | 35 |
| 3 1 0 | 30.3 | 33 |
| 0 4 0 | 42.8 | 30 |
| 4 0 1 | 43.4 | 22 |
| 0 0 3 | 43.6 | 21 |
| 2 0 2 | 37.3 | 19 |

Crystal structure
a b c (Å): 9.5659 8.4501 6.3246
angles (deg): 90.00 100.01 90.00
Space group Cm (No. 8)
One atom of each set of equivalent atoms:
Pr (0.0000, 0.0000, 0.0000) x2
Er (0.1965, 0.5000, 0.3160) x2
Mn (0.1000, 0.2509, 0.6551) x4
Mn (0.2509, 0.0000, 0.7636) x2
Mn (0.4500, 0.0000, 0.5478) x2
Co (0.0053, 0.0000, 0.4998) x2
Co (0.1907, 0.5000, 0.8127) x2
Co (0.2061, 0.1441, 0.3660) x4
Co (0.2529, 0.2513, 0.0045) x4
Co (0.3492, 0.2829, 0.6554) x4
Co (0.3508, 0.0000, 0.1571) x2
Co (0.4443, 0.2499, 0.3115) x4
Co (0.4938, 0.1424, 0.9480) x4